Computed powder diffraction line list of Ca3Ga7Pd4 for Cu Ka, from a structure optimized by DFT (GGA-PBE).
Kinematic intensities with the Lorentz-polarization factor, no thermal factor.

Largest 10 diffraction maxima, sorted by position, 2θ = 15–90°:
2θ 19.19, rel. 65.8
2θ 22.40, rel. 33.8
2θ 34.30, rel. 100.0
2θ 35.37, rel. 63.6
2θ 35.57, rel. 49.3
2θ 38.69, rel. 33.4
2θ 40.04, rel. 42.6
2θ 41.07, rel. 99.3
2θ 41.32, rel. 44.0
2θ 44.52, rel. 70.8

Structure:
```
14
Lattice="7.860 -2.198 0.000 7.860 2.198 0.000 -5.108 0.000 7.721" Properties=species:S:1:pos:R:3 pbc="T T T"
Ca 0.000 0.000 0.000
Ca 3.233 0.000 2.324
Ca 7.380 0.000 5.397
Ga -2.554 0.000 3.861
Ga 0.154 0.000 3.278
Ga 0.084 0.000 7.494
Ga 6.335 0.000 2.253
Ga 4.278 0.000 5.468
Ga 10.529 0.000 0.227
Ga 10.458 0.000 4.443
Pd -2.399 0.000 6.511
Pd 1.725 0.000 5.467
Pd 8.887 0.000 2.255
Pd 13.011 0.000 1.210
```

***

Computed powder diffraction line list of CaScGa2Pd5 for Cu Ka, from a structure optimized by DFT (GGA-PBE).
Kinematic intensities with the Lorentz-polarization factor, no thermal factor.

Largest 10 diffraction maxima, sorted by position, 2θ = 15–90°:
2θ 19.36, rel. 18.5
2θ 21.28, rel. 14.8
2θ 36.18, rel. 100.0
2θ 36.43, rel. 13.8
2θ 42.57, rel. 25.1
2θ 43.33, rel. 49.3
2θ 50.40, rel. 11.6
2θ 62.95, rel. 15.7
2θ 69.23, rel. 11.5
2θ 74.82, rel. 22.4

Structure:
```
9
Lattice="4.176 0.000 0.000 0.000 4.176 0.000 0.000 0.000 9.169" Properties=species:S:1:pos:R:3 pbc="T T T"
Ca 0.000 0.000 0.000
Sc 0.000 0.000 4.584
Ga 2.088 2.088 3.381
Ga 2.088 2.088 5.788
Pd 0.000 2.088 2.109
Pd 0.000 2.088 7.060
Pd 2.088 0.000 2.109
Pd 2.088 0.000 7.060
Pd 2.088 2.088 0.000
```

***

Computed powder diffraction line list of Ca3GaSi2Pd9 for Cu Ka, from a structure optimized by DFT (GGA-PBE).
Kinematic intensities with the Lorentz-polarization factor, no thermal factor.

Largest 10 diffraction maxima, sorted by position, 2θ = 15–90°:
2θ 19.04, rel. 39.4
2θ 30.34, rel. 21.7
2θ 34.24, rel. 87.8
2θ 38.64, rel. 100.0
2θ 40.84, rel. 16.7
2θ 44.91, rel. 15.1
2θ 45.17, rel. 22.0
2θ 53.24, rel. 16.6
2θ 58.28, rel. 26.6
2θ 62.51, rel. 14.4

Structure:
```
15
Lattice="6.333 0.000 0.000 -3.166 5.485 0.000 0.000 0.000 8.838" Properties=species:S:1:pos:R:3 pbc="T T T"
Ca 0.000 0.000 0.000
Ca 0.000 3.656 6.065
Ca 3.166 1.828 2.773
Ga 0.000 0.000 4.419
Si 0.000 3.656 1.514
Si 3.166 1.828 7.324
Pd -1.583 2.742 0.000
Pd 0.000 1.599 2.478
Pd -1.781 4.685 2.478
Pd 1.385 0.800 6.360
Pd 3.166 0.000 0.000
Pd 1.583 2.742 0.000
Pd 1.781 4.685 2.478
Pd 4.948 0.800 6.360
Pd 3.166 3.885 6.360
```

***

Computed powder diffraction line list of CaGa2SiPd for Cu Ka, from a structure optimized by DFT (GGA-PBE).
Kinematic intensities with the Lorentz-polarization factor, no thermal factor.

Largest 10 diffraction maxima, sorted by position, 2θ = 15–90°:
2θ 16.44, rel. 40.1
2θ 22.65, rel. 11.8
2θ 33.17, rel. 26.4
2θ 34.77, rel. 100.0
2θ 42.91, rel. 24.1
2θ 44.21, rel. 22.0
2θ 45.67, rel. 41.4
2θ 55.29, rel. 11.6
2θ 63.31, rel. 14.5
2θ 73.37, rel. 13.4

Structure:
```
10
Lattice="4.097 0.000 0.000 0.000 4.216 0.000 0.000 0.000 10.786" Properties=species:S:1:pos:R:3 pbc="T T T"
Ca 0.000 0.000 0.000
Ca 2.049 2.108 5.393
Ga 0.000 0.000 4.169
Ga 0.000 2.108 2.678
Ga 2.049 0.000 8.071
Ga 2.049 2.108 9.562
Si 0.000 0.000 6.609
Si 2.049 2.108 1.217
Pd 0.000 2.108 7.946
Pd 2.049 0.000 2.553
```

***

Computed powder diffraction line list of Sr2Ca2GaPd4 for Cu Ka, from a structure optimized by DFT (GGA-PBE).
Kinematic intensities with the Lorentz-polarization factor, no thermal factor.

Largest 10 diffraction maxima, sorted by position, 2θ = 15–90°:
2θ 19.99, rel. 18.4
2θ 26.85, rel. 17.6
2θ 32.37, rel. 100.0
2θ 35.93, rel. 63.4
2θ 40.62, rel. 17.0
2θ 41.45, rel. 11.0
2θ 51.72, rel. 21.7
2θ 55.34, rel. 27.2
2θ 62.35, rel. 29.0
2θ 67.76, rel. 14.6

Structure:
```
9
Lattice="-3.535 3.535 4.442 3.535 -3.535 4.442 3.535 3.535 -4.442" Properties=species:S:1:pos:R:3 pbc="T T T"
Sr 3.535 0.000 2.221
Sr 0.000 3.535 2.221
Ca 0.000 0.000 1.604
Ca 0.000 0.000 7.279
Ga 0.000 0.000 4.442
Pd 1.769 1.769 0.000
Pd 1.766 -1.766 4.442
Pd -1.766 1.766 4.442
Pd 1.766 1.766 4.442
```

***

Computed powder diffraction line list of CaTbGaPd for Cu Ka, from a structure optimized by DFT (GGA-PBE).
Kinematic intensities with the Lorentz-polarization factor, no thermal factor.

Largest 10 diffraction maxima, sorted by position, 2θ = 15–90°:
2θ 15.93, rel. 48.5
2θ 31.58, rel. 100.0
2θ 32.19, rel. 17.8
2θ 33.32, rel. 31.6
2θ 38.22, rel. 34.9
2θ 39.19, rel. 66.9
2θ 40.76, rel. 27.2
2θ 46.49, rel. 18.5
2θ 53.61, rel. 26.7
2θ 61.70, rel. 16.8

Structure:
```
8
Lattice="4.428 0.000 0.000 0.000 3.906 0.000 0.000 0.000 11.124" Properties=species:S:1:pos:R:3 pbc="T T T"
Ca 0.000 0.000 0.000
Ca 0.000 1.953 5.562
Tb 2.214 0.000 3.202
Tb 2.214 1.953 8.764
Ga 2.214 0.000 6.406
Ga 2.214 1.953 0.845
Pd 0.000 0.000 7.998
Pd 0.000 1.953 2.437
```